K2NiTeO4: computed powder XRD pattern (Cu Kα, 1.54184 Å), based on the PBE+U geometry in Alexandria.
Kinematic intensities with the Lorentz-polarization factor, no thermal factor.

Most intense lines, 2θ = 5–70°, low angle first:
2θ (°)  I_rel  h k l
18.85  36.7  1 1 0
19.63  65.4  1 1 -1
28.77  50.0  2 0 0
30.86  38.4  2 0 -2
31.33  75.5  0 2 1
33.77  100.0  2 2 -1
38.65  41.2  0 0 2
50.94  26.8  2 2 1
53.56  21.1  2 2 -3
65.40  20.0  0 2 3

Structural model:
a b c (Å): 7.841 7.227 5.885
angles (deg): 90.00 127.68 90.00
Fractional coordinates of all 16 atoms:
K (0.000, 0.000, 0.000)
K (0.000, 0.263, 0.500)
K (0.500, 0.500, 0.000)
K (0.500, 0.763, 0.500)
Ni (0.000, 0.476, 0.000)
Ni (0.500, 0.976, 0.000)
Te (0.000, 0.772, 0.500)
Te (0.500, 0.272, 0.500)
O (0.128, 0.598, 0.394)
O (0.224, 0.301, 0.077)
O (0.276, 0.801, 0.923)
O (0.372, 0.098, 0.606)
O (0.628, 0.098, 0.394)
O (0.724, 0.801, 0.077)
O (0.776, 0.301, 0.923)
O (0.872, 0.598, 0.606)